Starting from a GGA-PBE-relaxed structure, the X-ray diffraction stick pattern of BiO2 was computed for Cu Kα.
Peak positions follow from Bragg's law for the DFT cell and can differ from measured ones.

Largest 6 diffraction maxima, by intensity, 15 to 90 degrees two-theta:
2θ (°)  intensity
17.5  100
30.0  97
31.4  75
15.5  66
28.7  54
31.2  46

Structural model:
```
BiO2
1.0
6.302 -3.481 0.000
6.302 3.481 0.000
-0.675 0.000 15.236
Bi O
12 24
Direct
0.000 0.000 0.000 Bi
0.000 0.505 0.004 Bi
0.163 0.650 0.643 Bi
0.311 0.311 0.337 Bi
0.320 0.817 0.381 Bi
0.505 0.000 0.004 Bi
0.508 0.508 0.131 Bi
0.636 0.636 0.622 Bi
0.650 0.163 0.643 Bi
0.817 0.320 0.381 Bi
0.820 0.820 0.404 Bi
0.835 0.835 0.818 Bi
0.108 0.702 0.914 O
0.152 0.152 0.940 O
0.163 0.163 0.431 O
0.198 0.623 0.422 O
0.294 0.800 0.576 O
0.323 0.827 0.066 O
0.328 0.328 0.584 O
0.346 0.346 0.080 O
0.489 0.933 0.314 O
0.493 0.493 0.711 O
0.510 0.510 0.295 O
0.557 0.997 0.730 O
0.623 0.198 0.422 O
0.635 0.635 0.458 O
0.702 0.108 0.914 O
0.706 0.706 0.905 O
0.800 0.294 0.576 O
0.827 0.323 0.066 O
0.843 0.843 0.565 O
0.861 0.861 0.075 O
0.933 0.489 0.314 O
0.965 0.965 0.728 O
0.988 0.988 0.320 O
0.997 0.557 0.730 O
```